The following is a computed powder X-ray diffraction pattern of Hf2MgPb2. It was derived from a DFT-relaxed cell (GGA-PBE, Alexandria), using a wavelength of 1.5418 Å.
Neutral-atom scattering factors, no anomalous dispersion.

Atomic structure:
```
Hf2MgPb2
1.0
7.907 0.000 0.000
0.000 7.907 0.000
0.000 0.000 3.866
Hf Mg Pb
4 2 4
direct
0.146 0.354 0.000
0.354 0.854 0.000
0.646 0.146 0.000
0.854 0.646 0.000
0.000 0.000 0.500
0.500 0.500 0.500
0.154 0.654 0.500
0.346 0.154 0.500
0.654 0.846 0.500
0.846 0.346 0.500
```

The 10 most intense peaks (2θ = 10–90°), in order of rising 2θ:
- 15.85°, I 26
- 34.37°, I 100
- 35.92°, I 26
- 45.91°, I 11
- 47.01°, I 10
- 48.87°, I 12
- 53.33°, I 11
- 60.55°, I 12
- 68.34°, I 21
- 79.10°, I 10

The following is a computed powder X-ray diffraction pattern of HoBe4Au12. It was derived from a DFT-relaxed cell (GGA-PBE, Alexandria), using a wavelength of 1.5418 Å.
Neutral-atom scattering factors, no anomalous dispersion.

Atomic structure:
```
HoBe4Au12
1.0
-4.220 4.220 4.220
4.220 -4.220 4.220
4.220 4.220 -4.220
Ho Be Au
1 4 12
direct
0.000 0.000 0.000
0.000 0.000 0.500
0.000 0.500 0.000
0.500 0.000 0.000
0.500 0.500 0.500
0.161 0.831 0.330
0.169 0.330 0.500
0.169 0.670 0.839
0.330 0.161 0.831
0.330 0.500 0.169
0.500 0.169 0.330
0.500 0.831 0.670
0.670 0.500 0.831
0.670 0.839 0.169
0.831 0.330 0.161
0.831 0.670 0.500
0.839 0.169 0.670
```

The 10 most intense peaks (2θ = 10–90°), in order of rising 2θ:
- 33.58°, I 100
- 36.89°, I 10
- 39.97°, I 51
- 50.73°, I 7
- 53.16°, I 10
- 55.52°, I 16
- 64.36°, I 22
- 66.46°, I 17
- 68.53°, I 13
- 76.56°, I 19